Record 1
Theoretical X-ray diffraction stick pattern of Li6Cd2O7 for copper Kα, from DFT lattice parameters and positions (PBE).
Lines closer than 0.1° are merged.

Cell and atoms:
Cell: 5.229 5.311 5.954 Å, 72.66 89.48 79.81°
Space group P-1 (No. 2)
Asymmetric unit:
1 Li 0.082 0.275 0.437 [2 per cell]
2 Li 0.368 0.722 0.832 [2 per cell]
3 Li 0.370 0.725 0.305 [2 per cell]
4 Cd 0.129 0.249 0.931 [2 per cell]
5 O 0.000 0.007 0.264 [2 per cell]
6 O 0.255 0.481 0.143 [2 per cell]
7 O 0.271 0.480 0.616 [2 per cell]
8 O 0.500 0.000 0.000 [1 per cell]

Top 10 peaks for 10 to 80 degrees two-theta, low angle first:
two_theta, I (rel.), hkl
15.6, 100.0, 0 0 1
17.2, 49.3, 1 0 0
22.5, 18.7, 1 1 0
23.9, 26.7, 1 0 1
27.1, 25.2, 1 -1 0
28.1, 17.9, -1 1 1
30.0, 24.9, 1 1 -1
42.0, 25.0, 1 2 2
42.4, 23.9, 2 -1 0
42.8, 30.4, 1 1 -2

---

Record 2
Theoretical X-ray diffraction stick pattern of Li4CdTeO6 for copper Kα, from DFT lattice parameters and positions (PBE).
Lines closer than 0.1° are merged.

Cell and atoms:
Cell: 5.398 9.264 5.173 Å, 90.00 111.41 90.00°
Space group C2 (No. 5)
Asymmetric unit:
1 Li 0.000 0.000 0.000 [2 per cell]
2 Li 0.000 0.162 0.500 [2 per cell]
3 Li 0.000 0.327 0.000 [2 per cell]
4 Li 0.000 0.657 0.000 [2 per cell]
5 Cd 0.000 0.829 0.500 [2 per cell]
6 Te 0.000 0.496 0.500 [2 per cell]
7 O 0.217 0.504 0.272 [4 per cell]
8 O 0.218 0.345 0.746 [4 per cell]
9 O 0.237 0.641 0.747 [4 per cell]

Top 10 peaks for 10 to 80 degrees two-theta, low angle first:
two_theta, I (rel.), hkl
18.4, 100.0, 0 0 1
19.2, 24.0, 0 2 0
20.1, 42.6, 1 1 0
22.5, 31.4, 1 1 -1
26.7, 20.3, 0 2 1
33.7, 21.0, 2 0 -1
34.1, 40.0, 1 3 0
41.4, 26.9, 2 0 -2
42.2, 52.0, 1 3 1
46.0, 20.5, 1 3 -2

---

Record 3
Theoretical X-ray diffraction stick pattern of LiYCdO3 for copper Kα, from DFT lattice parameters and positions (PBE).
Lines closer than 0.1° are merged.

Cell and atoms:
Cell: 3.328 9.635 9.125 Å, 90.00 90.00 90.00°
Space group Cmcm (No. 63)
Asymmetric unit:
1 Li 0.000 0.019 0.250 [4 per cell]
2 Y 0.000 0.500 0.000 [4 per cell]
3 Cd 0.000 0.255 0.750 [4 per cell]
4 O 0.000 0.132 0.088 [8 per cell]
5 O 0.000 0.419 0.250 [4 per cell]

Top 10 peaks for 10 to 80 degrees two-theta, low angle first:
two_theta, I (rel.), hkl
26.9, 100.0, 0 2 2
28.4, 16.1, 1 1 0
30.0, 35.6, 1 1 1
37.3, 16.5, 0 4 0
39.5, 21.2, 0 0 4
40.3, 37.7, 1 3 1
41.3, 29.2, 1 1 3
43.9, 20.0, 1 3 2
55.5, 16.9, 0 4 4
62.5, 17.9, 2 2 2

---

Record 4
Theoretical X-ray diffraction stick pattern of LiCd3PS6 for copper Kα, from DFT lattice parameters and positions (PBE).
Lines closer than 0.1° are merged.

Cell and atoms:
Cell: 12.325 6.957 12.381 Å, 90.00 110.73 90.00°
Space group Cc (No. 9)
Asymmetric unit:
1 Li 0.000 0.184 0.000 [4 per cell]
2 Cd 0.137 0.434 0.351 [4 per cell]
3 Cd 0.286 0.092 0.852 [4 per cell]
4 Cd 0.311 0.364 0.153 [4 per cell]
5 P 0.063 0.265 0.594 [4 per cell]
6 S 0.018 0.028 0.668 [4 per cell]
7 S 0.175 0.255 0.962 [4 per cell]
8 S 0.242 0.257 0.645 [4 per cell]
9 S 0.316 0.260 0.348 [4 per cell]
10 S 0.494 0.274 0.917 [4 per cell]
11 S 0.497 0.012 0.636 [4 per cell]

Top 10 peaks for 10 to 80 degrees two-theta, low angle first:
two_theta, I (rel.), hkl
15.4, 76.4, 2 0 0
26.2, 100.0, 3 1 -2
26.8, 82.4, 0 2 1
29.3, 42.6, 4 0 -2
30.9, 69.0, 0 0 4
31.2, 42.0, 2 2 -2
32.4, 38.5, 2 2 1
34.7, 53.8, 3 1 2
44.9, 45.7, 3 3 -1
47.1, 41.0, 0 2 5

---

Record 5
Theoretical X-ray diffraction stick pattern of Li8CdPb2 for copper Kα, from DFT lattice parameters and positions (PBE).
Lines closer than 0.1° are merged.

Cell and atoms:
Cell: 8.041 4.643 10.736 Å, 90.00 104.39 90.00°
Space group C2/m (No. 12)
Asymmetric unit:
1 Li 0.089 0.000 0.267 [4 per cell]
2 Li 0.140 0.500 0.921 [4 per cell]
3 Li 0.178 0.000 0.533 [4 per cell]
4 Li 0.233 0.500 0.197 [4 per cell]
5 Cd 0.000 0.000 0.000 [2 per cell]
6 Pb 0.050 0.500 0.652 [4 per cell]

Top 10 peaks for 10 to 80 degrees two-theta, low angle first:
two_theta, I (rel.), hkl
22.3, 40.0, 1 1 0
22.8, 100.0, 2 0 0
24.9, 22.7, 1 1 1
25.7, 33.2, 0 0 3
29.9, 35.0, 2 0 -3
36.5, 14.8, 1 1 3
38.8, 85.5, 0 2 0
45.5, 16.7, 2 2 0
47.1, 39.9, 3 1 -4
70.3, 22.4, 6 0 -2

---

Record 6
Theoretical X-ray diffraction stick pattern of LiCd2Pd for copper Kα, from DFT lattice parameters and positions (PBE).
Lines closer than 0.1° are merged.

Cell and atoms:
Cell: 6.146 7.391 6.114 Å, 90.00 90.00 90.00°
Space group Imma (No. 74)
Asymmetric unit:
1 Li 0.000 0.250 0.001 [4 per cell]
2 Cd 0.250 0.001 0.750 [8 per cell]
3 Pd 0.000 0.250 0.499 [4 per cell]

Top 10 peaks for 10 to 80 degrees two-theta, low angle first:
two_theta, I (rel.), hkl
20.5, 45.1, 1 0 1
24.1, 19.0, 0 2 0
31.8, 29.7, 1 2 1
38.1, 100.0, 2 2 0
38.2, 99.1, 0 2 2
41.7, 77.2, 2 0 2
49.3, 23.3, 0 4 0
66.5, 36.7, 2 4 2
73.6, 27.1, 4 2 2
73.8, 26.8, 2 2 4

---

Record 7
Theoretical X-ray diffraction stick pattern of Li2CdPdS4 for copper Kα, from DFT lattice parameters and positions (PBE).
Lines closer than 0.1° are merged.

Cell and atoms:
Cell: 7.547 7.458 5.964 Å, 90.00 90.00 90.00°
Space group Pmn2_1 (No. 31)
Asymmetric unit:
1 Li 0.238 0.182 0.000 [4 per cell]
2 Cd 0.000 0.694 0.004 [2 per cell]
3 Pd 0.000 0.342 0.482 [2 per cell]
4 S 0.000 0.370 0.864 [2 per cell]
5 S 0.000 0.648 0.436 [2 per cell]
6 S 0.214 0.131 0.402 [4 per cell]

Top 10 peaks for 10 to 80 degrees two-theta, low angle first:
two_theta, I (rel.), hkl
11.9, 33.5, 0 1 0
19.1, 100.0, 0 1 1
23.6, 40.8, 2 0 0
26.5, 45.2, 2 1 0
30.0, 42.8, 0 0 2
30.5, 33.6, 2 1 1
37.1, 27.0, 2 2 1
38.5, 20.4, 2 0 2
43.6, 32.0, 2 3 0
53.8, 24.1, 2 3 2

---

Record 8
Theoretical X-ray diffraction stick pattern of Li4CdSbPd2 for copper Kα, from DFT lattice parameters and positions (PBE).
Lines closer than 0.1° are merged.

Cell and atoms:
Cell: 4.535 4.535 6.172 Å, 90.00 90.00 90.00°
Space group P-4m2 (No. 115)
Asymmetric unit:
1 Li 0.000 0.000 0.000 [1 per cell]
2 Li 0.000 0.500 0.247 [2 per cell]
3 Li 0.500 0.500 0.500 [1 per cell]
4 Cd 0.500 0.500 0.000 [1 per cell]
5 Sb 0.000 0.000 0.500 [1 per cell]
6 Pd 0.000 0.500 0.736 [2 per cell]

Top 10 peaks for 10 to 80 degrees two-theta, low angle first:
two_theta, I (rel.), hkl
24.4, 100.0, 1 0 1
39.8, 32.6, 2 0 0
40.6, 60.7, 1 1 2
47.2, 32.9, 2 1 1
48.6, 14.6, 1 0 3
57.5, 10.8, 2 2 0
64.5, 12.1, 2 1 3
72.7, 20.8, 3 1 2
74.4, 9.3, 2 0 4
77.4, 7.4, 3 2 1

---

Record 9
Theoretical X-ray diffraction stick pattern of Li4CdSnPd2 for copper Kα, from DFT lattice parameters and positions (PBE).
Lines closer than 0.1° are merged.

Cell and atoms:
Cell: 4.499 4.499 6.278 Å, 90.00 90.00 90.00°
Space group P-4m2 (No. 115)
Asymmetric unit:
1 Li 0.000 0.000 0.000 [1 per cell]
2 Li 0.000 0.500 0.246 [2 per cell]
3 Li 0.500 0.500 0.500 [1 per cell]
4 Cd 0.500 0.500 0.000 [1 per cell]
5 Sn 0.000 0.000 0.500 [1 per cell]
6 Pd 0.000 0.500 0.738 [2 per cell]

Top 10 peaks for 10 to 80 degrees two-theta, low angle first:
two_theta, I (rel.), hkl
24.3, 100.0, 1 0 1
40.1, 32.1, 2 0 0
40.4, 62.4, 1 1 2
47.5, 32.9, 2 1 1
47.9, 15.6, 1 0 3
58.0, 10.8, 2 2 0
64.2, 12.8, 2 1 3
73.0, 21.3, 3 1 2
73.6, 10.1, 2 0 4
78.1, 7.5, 3 2 1

---

Record 10
Theoretical X-ray diffraction stick pattern of Li2TlCd2SnPd2 for copper Kα, from DFT lattice parameters and positions (PBE).
Lines closer than 0.1° are merged.

Cell and atoms:
Cell: 4.675 4.675 6.597 Å, 90.00 90.00 90.00°
Space group P-4m2 (No. 115)
Asymmetric unit:
1 Li 0.000 0.500 0.249 [2 per cell]
2 Tl 0.500 0.500 0.000 [1 per cell]
3 Cd 0.000 0.000 0.000 [1 per cell]
4 Cd 0.500 0.500 0.500 [1 per cell]
5 Sn 0.000 0.000 0.500 [1 per cell]
6 Pd 0.000 0.500 0.737 [2 per cell]

Top 10 peaks for 10 to 80 degrees two-theta, low angle first:
two_theta, I (rel.), hkl
23.3, 20.7, 1 0 1
27.0, 22.1, 0 0 2
38.5, 100.0, 2 0 0
45.5, 10.4, 2 1 1
47.7, 6.5, 2 0 2
55.6, 11.4, 2 2 0
55.7, 5.5, 0 0 4
61.1, 4.3, 3 0 1
62.9, 5.6, 2 2 2
69.7, 34.1, 3 1 2